Diffraction record for TbThTl3. The powder X-ray diffraction pattern is computed, not measured: it uses DFT lattice parameters and positions (PBE) and a wavelength of 1.5418 Å.
Lines closer than 0.1° are merged.

Top 12 peaks for 2θ from 5° to 70°, sorted by position:
d/Å  2theta  I (rel.)
3.463  25.73  46.4
2.855  31.33  76.6
2.806  31.89  52.3
2.672  33.54  13.9
2.609  34.37  57.0
2.586  34.69  100.0
2.534  35.42  31.4
2.318  38.85  23.3
1.787  51.11  19.1
1.586  58.16  16.5
1.583  58.28  18.9
1.467  63.39  14.3

Structural model:
Cell lengths 8.220, 8.220, 8.741 Å; angles 90.01, 90.01, 86.11 degrees
Positions (direct):
Tb 0.129 0.871 0.750
Tb 0.371 0.629 0.250
Tb 0.629 0.371 0.750
Tb 0.871 0.129 0.250
Th 0.153 0.346 0.576
Th 0.346 0.153 0.076
Th 0.654 0.847 0.924
Th 0.847 0.654 0.424
Tl 0.029 0.798 0.098
Tl 0.081 0.419 0.213
Tl 0.202 0.971 0.402
Tl 0.298 0.529 0.902
Tl 0.419 0.081 0.713
Tl 0.471 0.702 0.598
Tl 0.529 0.298 0.402
Tl 0.581 0.919 0.287
Tl 0.702 0.471 0.098
Tl 0.798 0.029 0.598
Tl 0.919 0.581 0.787
Tl 0.971 0.202 0.902

Diffraction record for Tb2Tm8Th3. The powder X-ray diffraction pattern is computed, not measured: it uses DFT lattice parameters and positions (PBE) and a wavelength of 1.5418 Å.
Lines closer than 0.1° are merged.

Top 12 peaks for 2θ from 5° to 70°, sorted by position:
d/Å  2theta  I (rel.)
3.662  24.31  19.9
2.857  31.31  99.8
2.786  32.13  100.0
2.734  32.75  45.2
2.479  36.24  14.6
2.410  37.32  24.1
2.218  40.67  15.1
1.683  54.51  12.0
1.622  56.75  22.7
1.526  60.68  13.4
1.458  63.86  15.3
1.441  64.70  13.8

Structural model:
Cell lengths 11.822, 11.822, 11.822 Å; angles 152.74, 146.91, 43.39 degrees
Positions (direct):
Tb 0.224 0.224 0.000
Tb 0.776 0.776 0.000
Tm 0.075 0.075 0.000
Tm 0.089 0.350 0.739
Tm 0.317 0.817 0.500
Tm 0.390 0.650 0.739
Tm 0.610 0.350 0.261
Tm 0.683 0.183 0.500
Tm 0.911 0.650 0.261
Tm 0.925 0.925 0.000
Th 0.231 0.500 0.731
Th 0.500 0.000 0.500
Th 0.769 0.500 0.269